1.
Starting from a cell relaxed with GGA-PBE, the powder diffraction line list of NdEr2Co2B2N3 was computed for copper Kα.
Lines closer than 0.1° are merged.

Most intense lines, 15 to 90 degrees two-theta, sorted by position:
| two_theta | intensity |
| --- | --- |
| 28.85 | 100.0 |
| 34.03 | 70.4 |
| 35.78 | 49.2 |
| 36.40 | 39.8 |
| 37.52 | 31.3 |
| 40.73 | 40.3 |
| 51.96 | 24.6 |
| 52.42 | 35.1 |
| 60.94 | 26.4 |
| 65.09 | 32.9 |

Cell: 10.337 10.337 10.337 Å, 160.56 160.56 27.63°
Fractional positions:
Nd  0.000  0.000  0.000
Er  0.374  0.374  0.000
Er  0.626  0.626  0.000
Co  0.250  0.750  0.500
Co  0.750  0.250  0.500
B  0.196  0.196  0.000
B  0.804  0.804  0.000
N  0.121  0.121  0.000
N  0.500  0.500  0.000
N  0.879  0.879  0.000



2.
Starting from a cell relaxed with GGA-PBE, the powder diffraction line list of TbGd2CoSn3Ir2 was computed for copper Kα.
Lines closer than 0.1° are merged.

Most intense lines, 15 to 90 degrees two-theta, sorted by position:
| two_theta | intensity |
| --- | --- |
| 33.30 | 100.0 |
| 36.10 | 74.4 |
| 36.38 | 49.2 |
| 41.46 | 35.6 |
| 43.57 | 22.5 |
| 47.36 | 22.0 |
| 61.15 | 22.5 |
| 64.73 | 19.2 |
| 67.02 | 26.1 |
| 70.44 | 14.1 |

Cell: 3.839 7.542 7.542 Å, 119.93 90.00 90.00°
Fractional positions:
Tb  0.000  0.000  0.000
Gd  0.000  0.408  0.816
Gd  0.000  0.816  0.408
Co  0.000  0.407  0.407
Sn  0.500  0.157  0.407
Sn  0.500  0.407  0.157
Sn  0.500  0.659  0.659
Ir  0.500  0.074  0.742
Ir  0.500  0.742  0.074



3.
Starting from a cell relaxed with GGA-PBE, the powder diffraction line list of AgP5W3 was computed for copper Kα.
Lines closer than 0.1° are merged.

Most intense lines, 15 to 90 degrees two-theta, sorted by position:
| two_theta | intensity |
| --- | --- |
| 22.92 | 75.6 |
| 24.57 | 54.6 |
| 36.05 | 30.9 |
| 39.21 | 59.2 |
| 41.22 | 58.7 |
| 42.26 | 26.8 |
| 46.82 | 100.0 |
| 55.17 | 21.4 |
| 65.63 | 27.3 |
| 71.07 | 16.9 |

Cell: 5.305 5.305 7.247 Å, 90.00 90.00 120.00°
Fractional positions:
Ag  0.000  0.000  0.000
P  0.000  0.000  0.500
P  0.333  0.667  0.222
P  0.333  0.667  0.778
P  0.667  0.333  0.222
P  0.667  0.333  0.778
W  0.000  0.500  0.500
W  0.500  0.000  0.500
W  0.500  0.500  0.500



4.
Starting from a cell relaxed with GGA-PBE, the powder diffraction line list of NpB4H16 was computed for copper Kα.
Lines closer than 0.1° are merged.

Most intense lines, 15 to 90 degrees two-theta, sorted by position:
| two_theta | intensity |
| --- | --- |
| 15.21 | 80.6 |
| 18.72 | 100.0 |
| 21.57 | 35.9 |
| 28.71 | 69.6 |
| 34.42 | 21.0 |
| 34.58 | 20.8 |
| 36.20 | 19.9 |
| 42.53 | 24.6 |
| 46.90 | 20.2 |
| 48.17 | 18.5 |

Cell: 8.239 8.239 5.793 Å, 90.00 90.00 90.00°
Fractional positions:
Np  0.250  0.750  0.250
Np  0.750  0.250  0.750
B  0.009  0.750  0.006
B  0.250  0.509  0.494
B  0.250  0.991  0.494
B  0.491  0.750  0.006
B  0.509  0.250  0.994
B  0.750  0.009  0.506
B  0.750  0.491  0.506
B  0.991  0.250  0.994
H  0.020  0.250  0.781
H  0.100  0.629  0.977
H  0.100  0.871  0.977
H  0.109  0.250  0.113
H  0.129  0.600  0.523
H  0.129  0.900  0.523
H  0.250  0.020  0.281
H  0.250  0.109  0.613
H  0.250  0.391  0.613
H  0.250  0.480  0.281
H  0.371  0.600  0.523
H  0.371  0.900  0.523
H  0.391  0.250  0.113
H  0.400  0.629  0.977
H  0.400  0.871  0.977
H  0.480  0.250  0.781
H  0.520  0.750  0.219
H  0.600  0.129  0.023
H  0.600  0.371  0.023
H  0.609  0.750  0.887
H  0.629  0.100  0.477
H  0.629  0.400  0.477
H  0.750  0.520  0.719
H  0.750  0.609  0.387
H  0.750  0.891  0.387
H  0.750  0.980  0.719
H  0.871  0.100  0.477
H  0.871  0.400  0.477
H  0.891  0.750  0.887
H  0.900  0.129  0.023
H  0.900  0.371  0.023
H  0.980  0.750  0.219



5.
Starting from a cell relaxed with GGA-PBE, the powder diffraction line list of KHgNO was computed for copper Kα.
Lines closer than 0.1° are merged.

Most intense lines, 15 to 90 degrees two-theta, sorted by position:
| two_theta | intensity |
| --- | --- |
| 19.96 | 79.2 |
| 23.09 | 24.7 |
| 28.29 | 28.3 |
| 28.45 | 33.2 |
| 30.70 | 100.0 |
| 40.56 | 28.7 |
| 47.19 | 30.3 |
| 51.62 | 23.4 |
| 51.78 | 37.3 |
| 55.99 | 18.6 |

Cell: 3.852 6.309 6.274 Å, 90.00 90.00 90.00°
Fractional positions:
K  0.000  0.198  0.000
K  0.000  0.802  0.500
Hg  0.500  0.254  0.497
Hg  0.500  0.746  0.997
N  0.000  0.357  0.494
N  0.000  0.643  0.994
O  0.500  0.003  0.749
O  0.500  0.997  0.249



6.
Starting from a cell relaxed with GGA-PBE, the powder diffraction line list of DyYFe2B2N2 was computed for copper Kα.
Lines closer than 0.1° are merged.

Most intense lines, 15 to 90 degrees two-theta, sorted by position:
| two_theta | intensity |
| --- | --- |
| 28.37 | 71.9 |
| 34.92 | 100.0 |
| 36.89 | 16.5 |
| 38.76 | 64.0 |
| 43.97 | 47.3 |
| 53.17 | 30.1 |
| 54.56 | 18.1 |
| 61.34 | 36.6 |
| 65.20 | 45.6 |
| 88.91 | 15.9 |

Cell: 3.445 3.445 7.709 Å, 90.00 90.00 90.00°
Fractional positions:
Dy  0.000  0.000  0.000
Y  0.500  0.500  0.331
Fe  0.000  0.500  0.666
Fe  0.500  0.000  0.666
B  0.000  0.000  0.501
B  0.500  0.500  0.830
N  0.000  0.000  0.307
N  0.500  0.500  0.024



7.
Starting from a cell relaxed with GGA-PBE, the powder diffraction line list of TbSi2NiGe was computed for copper Kα.
Lines closer than 0.1° are merged.

Most intense lines, 15 to 90 degrees two-theta, sorted by position:
| two_theta | intensity |
| --- | --- |
| 16.58 | 14.1 |
| 31.99 | 15.2 |
| 33.70 | 36.7 |
| 34.17 | 100.0 |
| 37.06 | 15.4 |
| 44.37 | 29.8 |
| 45.46 | 41.5 |
| 57.79 | 15.4 |
| 65.37 | 19.0 |
| 76.69 | 18.8 |

Cell: 10.881 10.881 3.993 Å, 90.00 90.00 158.88°
Fractional positions:
Tb  0.166  0.834  0.000
Tb  0.834  0.166  0.000
Si  0.055  0.945  0.500
Si  0.445  0.555  0.000
Si  0.555  0.445  0.000
Si  0.945  0.055  0.500
Ni  0.394  0.606  0.500
Ni  0.606  0.394  0.500
Ge  0.285  0.715  0.500
Ge  0.715  0.285  0.500



8.
Starting from a cell relaxed with GGA-PBE, the powder diffraction line list of Dy3Al5Ni was computed for copper Kα.
Lines closer than 0.1° are merged.

Most intense lines, 15 to 90 degrees two-theta, sorted by position:
| two_theta | intensity |
| --- | --- |
| 20.63 | 50.9 |
| 25.62 | 50.5 |
| 29.67 | 31.3 |
| 33.12 | 100.0 |
| 36.41 | 68.0 |
| 39.60 | 26.5 |
| 41.97 | 23.0 |
| 54.98 | 19.1 |
| 59.35 | 33.5 |
| 71.50 | 17.5 |

Cell: 6.954 6.954 4.305 Å, 90.00 90.00 120.00°
Fractional positions:
Dy  0.000  0.596  0.000
Dy  0.404  0.404  0.000
Dy  0.596  0.000  0.000
Al  0.000  0.230  0.500
Al  0.230  0.000  0.500
Al  0.333  0.667  0.500
Al  0.667  0.333  0.500
Al  0.770  0.770  0.500
Ni  0.000  0.000  0.000